# ScIn2Te4
Calculated powder diffraction line list, a wavelength of 1.5418 Å. Input: DFT lattice parameters and positions (PBE).
Lines closer than 0.1° are merged.

Largest 10 diffraction maxima, by angle, 2θ = 15–90°:
2θ = 15.2°, 5.816 Å, I = 61, (1 1 0)
2θ = 27.0°, 3.303 Å, I = 96, (1 2 1)
2θ = 28.3°, 3.152 Å, I = 22, (1 1 2)
2θ = 30.7°, 2.908 Å, I = 56, (2 2 0)
2θ = 32.3°, 2.771 Å, I = 100, (2 0 2)
2θ = 42.3°, 2.137 Å, I = 57, (1 3 2)
2θ = 43.8°, 2.068 Å, I = 26, (1 2 3)
2θ = 47.1°, 1.928 Å, I = 46, (4 1 1)
2θ = 59.3°, 1.559 Å, I = 23, (4 1 3)
2θ = 71.5°, 1.320 Å, I = 30, (3 5 2)

Structure:
```
data_ScIn2Te4
_chemical_formula_sum 'Sc2 In4 Te8'
_space_group_name_H-M_alt 'I 4/m'
_space_group_IT_number 87
_space_group_name_Hall '-I 4'
_cell_length_a 8.225
_cell_length_b 8.225
_cell_length_c 7.500
_cell_angle_alpha 90.00
_cell_angle_beta 90.00
_cell_angle_gamma 90.00
loop_
_atom_site_label
_atom_site_fract_x
_atom_site_fract_y
_atom_site_fract_z
Sc1 0.000 0.000 0.000
In1 0.000 0.500 0.250
Te1 0.184 0.300 0.000
```

***

# Sc2Tl3InTe6
Calculated powder diffraction line list, a wavelength of 1.5418 Å. Input: DFT lattice parameters and positions (PBE).
Lines closer than 0.1° are merged.

Largest 10 diffraction maxima, by angle, 2θ = 15–90°:
2θ = 24.0°, 3.708 Å, I = 14, (2 0 -1)
2θ = 28.0°, 3.184 Å, I = 100, (1 3 1)
2θ = 30.2°, 2.959 Å, I = 19, (1 3 -2)
2θ = 33.5°, 2.673 Å, I = 8, (0 0 3)
2θ = 38.4°, 2.347 Å, I = 35, (2 0 2)
2θ = 41.7°, 2.167 Å, I = 37, (0 6 0)
2θ = 51.0°, 1.791 Å, I = 19, (4 0 0)
2θ = 54.5°, 1.683 Å, I = 13, (3 3 -4)
2θ = 63.2°, 1.472 Å, I = 11, (3 3 3)
2θ = 67.9°, 1.381 Å, I = 11, (4 6 0)

Structure:
```
data_Sc2Tl3InTe6
_chemical_formula_sum 'Sc4 Tl6 In2 Te12'
_space_group_name_H-M_alt 'C 1 2/m 1'
_space_group_IT_number 12
_space_group_name_Hall '-C 2y'
_cell_length_a 7.502
_cell_length_b 13.009
_cell_length_c 8.398
_cell_angle_alpha 90.00
_cell_angle_beta 107.27
_cell_angle_gamma 90.00
loop_
_atom_site_label
_atom_site_fract_x
_atom_site_fract_y
_atom_site_fract_z
Sc1 0.000 0.167 0.000
Tl1 0.000 0.000 0.500
Tl2 0.000 0.334 0.500
In1 0.000 0.500 0.000
Te1 0.228 0.000 0.204
Te2 0.239 0.330 0.205
```

***

# ThSc2In2
Calculated powder diffraction line list, a wavelength of 1.5418 Å. Input: DFT lattice parameters and positions (PBE).
Lines closer than 0.1° are merged.

Largest 10 diffraction maxima, by angle, 2θ = 15–90°:
2θ = 24.6°, 3.624 Å, I = 98, (0 1 1)
2θ = 34.9°, 2.570 Å, I = 100, (1 1 0)
2θ = 35.1°, 2.554 Å, I = 99, (0 1 2)
2θ = 37.9°, 2.377 Å, I = 33, (1 1 1)
2θ = 43.1°, 2.097 Å, I = 23, (2 0 1)
2θ = 48.3°, 1.884 Å, I = 24, (1 0 3)
2θ = 50.4°, 1.812 Å, I = 35, (2 0 2)
2θ = 56.7°, 1.625 Å, I = 21, (1 2 1)
2θ = 62.6°, 1.484 Å, I = 18, (3 0 0)
2θ = 62.7°, 1.481 Å, I = 36, (1 2 2)

Structure:
```
data_ThSc2In2
_chemical_formula_sum 'Th1 Sc2 In2'
_space_group_name_H-M_alt 'P -3 m 1'
_space_group_IT_number 164
_space_group_name_Hall '-P 3 2"'
_cell_length_a 5.1409
_cell_length_b 5.1409
_cell_length_c 6.2372
_cell_angle_alpha 90.00
_cell_angle_beta 90.00
_cell_angle_gamma 120.00
loop_
_atom_site_label
_atom_site_fract_x
_atom_site_fract_y
_atom_site_fract_z
Th1 0.0000 0.0000 0.0000
Sc1 0.3333 0.6667 0.6675
In1 0.3333 0.6667 0.2022
```

***

# ThSc12In3
Calculated powder diffraction line list, a wavelength of 1.5418 Å. Input: DFT lattice parameters and positions (PBE).
Lines closer than 0.1° are merged.

Largest 10 diffraction maxima, by angle, 2θ = 15–90°:
2θ = 19.4°, 4.573 Å, I = 36, (1 0 0)
2θ = 27.6°, 3.233 Å, I = 32, (1 1 0)
2θ = 34.0°, 2.640 Å, I = 100, (1 1 4)
2θ = 39.4°, 2.286 Å, I = 49, (2 0 0)
2θ = 44.3°, 2.045 Å, I = 19, (2 1 0)
2θ = 48.8°, 1.867 Å, I = 14, (2 1 4)
2θ = 57.0°, 1.617 Å, I = 31, (2 2 0)
2θ = 60.8°, 1.524 Å, I = 9, (3 0 0)
2θ = 68.0°, 1.379 Å, I = 35, (3 1 4)
2θ = 71.5°, 1.320 Å, I = 10, (2 2 8)

Structure:
```
data_ThSc12In3
_chemical_formula_sum 'Th1 Sc12 In3'
_space_group_name_H-M_alt 'P 4/m m m'
_space_group_IT_number 123
_space_group_name_Hall '-P 4 2'
_cell_length_a 4.570
_cell_length_b 4.570
_cell_length_c 18.308
_cell_angle_alpha 90.00
_cell_angle_beta 90.00
_cell_angle_gamma 90.00
loop_
_atom_site_label
_atom_site_fract_x
_atom_site_fract_y
_atom_site_fract_z
Th1 0.000 0.000 0.000
Sc1 0.000 0.500 0.131
Sc2 0.000 0.500 0.377
Sc3 0.500 0.500 0.000
Sc4 0.500 0.500 0.257
Sc5 0.500 0.500 0.500
In1 0.000 0.000 0.255
In2 0.000 0.000 0.500
```

***

# Sc6TiIn5
Calculated powder diffraction line list, a wavelength of 1.5418 Å. Input: DFT lattice parameters and positions (PBE).
Lines closer than 0.1° are merged.

Largest 10 diffraction maxima, by angle, 2θ = 15–90°:
2θ = 25.1°, 3.549 Å, I = 16, (1 0 -2)
2θ = 25.2°, 3.533 Å, I = 8, (0 2 0)
2θ = 35.7°, 2.514 Å, I = 20, (0 0 3)
2θ = 35.9°, 2.504 Å, I = 100, (2 0 -1)
2θ = 51.4°, 1.777 Å, I = 7, (2 0 2)
2θ = 51.6°, 1.773 Å, I = 7, (2 0 -4)
2θ = 51.8°, 1.766 Å, I = 7, (0 4 0)
2θ = 64.3°, 1.449 Å, I = 12, (1 2 -5)
2θ = 64.4°, 1.446 Å, I = 19, (3 2 -3)
2θ = 64.6°, 1.444 Å, I = 7, (2 4 -1)

Structure:
```
data_Sc6TiIn5
_chemical_formula_sum 'Sc6 Ti1 In5'
_space_group_name_H-M_alt 'P 1 2/m 1'
_space_group_IT_number 10
_space_group_name_Hall '-P 2y'
_cell_length_a 5.011
_cell_length_b 7.065
_cell_length_c 7.942
_cell_angle_alpha 90.00
_cell_angle_beta 108.27
_cell_angle_gamma 90.00
loop_
_atom_site_label
_atom_site_fract_x
_atom_site_fract_y
_atom_site_fract_z
Sc1 0.000 0.246 0.000
Sc2 0.335 0.257 0.667
Ti1 0.500 0.500 0.000
In1 0.155 0.500 0.313
In2 0.168 0.000 0.338
In3 0.500 0.000 0.000
```

***

# Sc4TlIn
Calculated powder diffraction line list, a wavelength of 1.5418 Å. Input: DFT lattice parameters and positions (PBE).
Lines closer than 0.1° are merged.

Largest 10 diffraction maxima, by angle, 2θ = 15–90°:
2θ = 19.8°, 4.484 Å, I = 82, (0 1 1)
2θ = 20.6°, 4.316 Å, I = 18, (0 0 2)
2θ = 28.9°, 3.085 Å, I = 74, (1 0 1)
2θ = 34.2°, 2.624 Å, I = 43, (0 2 0)
2θ = 35.6°, 2.523 Å, I = 67, (0 1 3)
2θ = 38.4°, 2.346 Å, I = 100, (1 1 2)
2θ = 45.4°, 1.999 Å, I = 44, (1 2 1)
2θ = 64.0°, 1.455 Å, I = 21, (1 3 2)
2θ = 67.8°, 1.382 Å, I = 19, (2 1 3)
2θ = 71.4°, 1.322 Å, I = 18, (1 2 5)

Structure:
```
data_Sc4TlIn
_chemical_formula_sum 'Sc4 Tl1 In1'
_space_group_name_H-M_alt 'P m m m'
_space_group_IT_number 47
_space_group_name_Hall '-P 2 2'
_cell_length_a 3.303
_cell_length_b 5.248
_cell_length_c 8.631
_cell_angle_alpha 90.00
_cell_angle_beta 90.00
_cell_angle_gamma 90.00
loop_
_atom_site_label
_atom_site_fract_x
_atom_site_fract_y
_atom_site_fract_z
Sc1 0.000 0.000 0.193
Sc2 0.500 0.500 0.304
Tl1 0.500 0.000 0.500
In1 0.000 0.500 0.000
```